Record 1
This entry pairs a crystal structure of Na4Cd3H2C4O14 with its calculated powder diffraction line list. Radiation: Cu Kα (λ = 1.5418 Å). Structure: the PBE geometry in OQMD.
Peak positions follow from Bragg's law for the DFT cell and can differ from measured ones.

```
data_Na4Cd3H2C4O14
_cell_length_a 9.3166
_cell_length_b 3.3958
_cell_length_c 19.0681
_cell_angle_alpha 90.00
_cell_angle_beta 99.05
_cell_angle_gamma 90.00
_symmetry_space_group_name_H-M 'P 1 21/c 1'
_symmetry_Int_Tables_number 14
_symmetry_space_group_name_Hall '-P 2ybc'
loop_
_atom_site_label
_atom_site_fract_x
_atom_site_fract_y
_atom_site_fract_z
Na1 0.0402 0.0496 0.3270
Na2 0.1459 0.2472 0.5499
Cd1 0.4169 0.0563 0.8203
Cd2 0.5000 0.0000 0.5000
H1 0.3774 0.5320 0.1201
C1 0.2099 0.6095 0.4329
C2 0.2306 0.5852 0.6950
O1 0.0996 0.7242 0.9534
O2 0.1223 0.0601 0.2190
O3 0.2100 0.5449 0.3659
O4 0.2176 0.7445 0.1337
O5 0.3203 0.5051 0.4809
O6 0.3626 0.5626 0.7341
O7 0.4770 0.0501 0.6126
```

Main lines, sorted by position (2θ from 10° to 90°):
2θ 28.44, intensity 46, (0 0 6); 2θ 29.15, intensity 67, (3 0 -2); 2θ 29.92, intensity 65, (0 1 3); 2θ 30.77, intensity 32, (1 1 -3); 2θ 31.89, intensity 42, (2 0 -6); 2θ 32.20, intensity 100, (1 1 3); 2θ 33.58, intensity 72, (2 1 1); 2θ 40.51, intensity 38, (3 1 1); 2θ 48.68, intensity 33, (4 1 1); 2θ 50.86, intensity 45, (4 1 -5)


Record 2
This entry pairs a crystal structure of CdH6C2O7 with its calculated powder diffraction line list. Radiation: Cu Kα (λ = 1.5418 Å). Structure: the PBE geometry in OQMD.
Peak positions follow from Bragg's law for the DFT cell and can differ from measured ones.

```
data_CdH6C2O7
_cell_length_a 5.9657
_cell_length_b 6.4054
_cell_length_c 8.2283
_cell_angle_alpha 73.71
_cell_angle_beta 72.36
_cell_angle_gamma 79.39
_symmetry_space_group_name_H-M 'P 1'
_symmetry_Int_Tables_number 1
_symmetry_space_group_name_Hall 'P 1'
loop_
_atom_site_label
_atom_site_fract_x
_atom_site_fract_y
_atom_site_fract_z
Cd1 0.0000 0.0000 0.0000
Cd2 0.0953 0.5675 0.4116
H1 0.0038 0.4104 0.0596
H2 0.0998 0.1678 0.3331
H3 0.2933 0.2946 0.7658
H4 0.3412 0.1694 0.3743
H5 0.4309 0.5744 0.9478
H6 0.4352 0.0421 0.6227
H7 0.4549 0.1165 0.8835
H8 0.6393 0.4540 0.5311
H9 0.6521 0.5178 0.8003
H10 0.6547 0.9757 0.4784
H11 0.7524 0.3890 0.0483
H12 0.8016 0.2746 0.6463
C1 0.1045 0.6768 0.7560
C2 0.4805 0.8698 0.1457
C3 0.6151 0.6997 0.2657
C4 0.9891 0.8898 0.6547
O1 0.1322 0.6719 0.9039
O2 0.1617 0.5165 0.6856
O3 0.2239 0.2625 0.3083
O4 0.2685 0.8399 0.1670
O5 0.3474 0.1345 0.8055
O6 0.4806 0.0000 0.5075
O7 0.5088 0.5442 0.3743
O8 0.5870 0.0253 0.0369
O9 0.6048 0.5544 0.9174
O10 0.7463 0.4348 0.6092
O11 0.8266 0.7303 0.2452
O12 0.8838 0.3066 0.1036
O13 0.9339 0.0503 0.7252
O14 0.9573 0.8934 0.5087
```

Main lines, sorted by position (2θ from 10° to 90°):
2θ 15.68, intensity 90, (1 0 0); 2θ 16.28, intensity 100, (0 1 1); 2θ 19.11, intensity 28, (1 1 1); 2θ 20.70, intensity 31, (0 1 -1); 2θ 24.45, intensity 44, (1 0 2); 2θ 27.01, intensity 30, (1 1 -1); 2θ 29.22, intensity 26, (0 2 0); 2θ 32.89, intensity 49, (0 2 2); 2θ 33.44, intensity 46, (2 1 0); 2θ 34.11, intensity 30, (2 0 2)


Record 3
This entry pairs a crystal structure of CdH4C4O6 with its calculated powder diffraction line list. Radiation: Cu Kα (λ = 1.5418 Å). Structure: the PBE geometry in OQMD.
Peak positions follow from Bragg's law for the DFT cell and can differ from measured ones.

```
data_CdH4C4O6
_cell_length_a 8.2461
_cell_length_b 11.8777
_cell_length_c 6.0636
_cell_angle_alpha 90.00
_cell_angle_beta 103.81
_cell_angle_gamma 90.00
_symmetry_space_group_name_H-M 'P 1 21/c 1'
_symmetry_Int_Tables_number 14
_symmetry_space_group_name_Hall '-P 2ybc'
loop_
_atom_site_label
_atom_site_fract_x
_atom_site_fract_y
_atom_site_fract_z
Cd1 0.2271 0.1316 0.1868
H1 0.0447 0.5589 0.7747
H2 0.2415 0.5967 0.8232
H3 0.2529 0.1377 0.6595
H4 0.4294 0.1879 0.6172
C1 0.1599 0.6589 0.3337
C2 0.2242 0.5458 0.3104
C3 0.3224 0.7052 0.3237
C4 0.3862 0.5917 0.2996
O1 0.0285 0.7051 0.3604
O2 0.1624 0.5329 0.8250
O3 0.1674 0.0549 0.8081
O4 0.3014 0.1949 0.5688
O5 0.3807 0.6960 0.8340
O6 0.4796 0.0486 0.2224
```

Main lines, sorted by position (2θ from 10° to 90°):
2θ 13.34, intensity 71, (1 1 0); 2θ 18.05, intensity 31, (1 1 -1); 2θ 21.25, intensity 100, (0 2 1); 2θ 22.21, intensity 57, (2 0 0); 2θ 27.95, intensity 33, (1 3 -1); 2θ 28.12, intensity 36, (2 2 -1); 2θ 30.36, intensity 34, (0 0 2); 2θ 31.30, intensity 45, (0 1 2); 2θ 34.45, intensity 36, (3 1 0); 2θ 46.89, intensity 25, (4 2 -1)